(1)
This entry pairs a crystal structure of Nd6Ge3H with its simulated PXRD pattern. Radiation: Cu Kα (weighted mean of Kα1 and Kα2). Structure: a structure optimized by DFT (GGA-PBE).
Neutral-atom scattering factors, no anomalous dispersion.

Largest 10 diffraction maxima, by angle, 15 to 90 degrees two-theta:
two_theta  intensity  (hkl)
27.22  63  1 2 0
28.02  78  0 2 2
29.88  84  2 1 -2
30.06  77  1 0 -4
31.06  100  2 1 -1
31.26  91  1 2 1
31.46  60  1 2 -3
31.68  63  1 1 2
32.03  49  1 1 -4
35.74  93  1 3 -1

Cell and atoms:
Cell: 6.4262 8.1883 11.9232 Å, 90.00 121.78 90.00°
Space group P2_1/c (No. 14)
Inequivalent atoms, fractional coordinates:
Nd1 0.0694 0.1849 0.4397 x4
Nd2 0.2954 0.6685 0.4416 x4
Nd3 0.3707 0.0401 0.2327 x4
Ge1 0.1703 0.1189 0.7471 x4
Ge2 0.5000 0.0000 0.5000 x2
H1 0.0000 0.0000 0.0000 x2



(2)
This entry pairs a crystal structure of Li2DyCu2P2 with its simulated PXRD pattern. Radiation: Cu Kα (weighted mean of Kα1 and Kα2). Structure: a structure optimized by DFT (GGA-PBE).
Neutral-atom scattering factors, no anomalous dispersion.

Largest 10 diffraction maxima, by angle, 15 to 90 degrees two-theta:
two_theta  intensity  (hkl)
27.11  76  0 1 2
30.38  54  1 0 4
32.64  91  0 1 5
38.08  100  1 0 7
45.75  79  1 1 0
47.90  21  0 0 12
59.17  24  1 1 9
60.99  25  0 2 7
68.39  36  1 1 12
79.46  24  2 1 7

Cell and atoms:
Cell: 3.9667 3.9667 22.7915 Å, 90.00 90.00 120.00°
Space group R-3m (No. 166, hexagonal axes)
Inequivalent atoms, fractional coordinates:
Li1 0.0000 0.0000 0.1425 x6
Dy1 0.0000 0.0000 0.0000 x3
Cu1 0.0000 0.0000 0.4257 x6
P1 0.0000 0.0000 0.2540 x6